Diffraction record for Li5Co7O3F13. The XRD peak list is simulated, not measured: it uses a structure optimized by DFT (PBE+U) and Cu Kα, 1.54184 Å.
Lines closer than 0.1° are merged.

Top 10 peaks for 2θ from 10° to 80°, low angle first:
- (0 1 -1), 2θ = 17.6°, intensity 20
- (1 0 0), 2θ = 17.9°, intensity 100
- (1 -2 2), 2θ = 34.3°, intensity 21
- (-1 2 2), 2θ = 34.4°, intensity 12
- (1 0 -4), 2θ = 34.6°, intensity 24
- (0 2 2), 2θ = 41.7°, intensity 29
- (2 0 -4), 2θ = 42.0°, intensity 58
- (-3 2 2), 2θ = 46.1°, intensity 10
- (2 2 -2), 2θ = 60.3°, intensity 17
- (-4 2 2), 2θ = 61.1°, intensity 18

Structure:
Lattice parameters (Å, degrees): 6.0672 6.1394 10.5174 90.45 106.66 119.61
Space group P1 (No. 1)
Symmetry-distinct sites (fractional):
Li: 0.0000 0.0000 0.0000
Li: 0.0193 0.5313 0.5098
Li: 0.7366 0.3261 0.1406
Li: 0.7683 0.8652 0.6477
Li: 0.8818 0.4287 0.8225
Co: 0.3598 0.1506 0.5796
Co: 0.3684 0.4108 0.8168
Co: 0.3675 0.9364 0.8178
Co: 0.3753 0.4235 0.3268
Co: 0.3797 0.9284 0.3253
Co: 0.3849 0.6956 0.0778
Co: 0.8774 0.9270 0.3247
O: 0.1459 0.8537 0.4352
O: 0.1584 0.0689 0.7073
O: 0.6087 0.0006 0.2141
F: 0.1315 0.0648 0.1981
F: 0.1342 0.5395 0.2024
F: 0.1353 0.7954 0.9466
F: 0.1398 0.3148 0.4459
F: 0.1406 0.5623 0.7113
F: 0.1507 0.3427 0.9510
F: 0.6016 0.7895 0.9375
F: 0.6068 0.5379 0.2012
F: 0.6178 0.3110 0.4508
F: 0.6184 0.7842 0.4475
F: 0.6265 0.5254 0.7042
F: 0.6317 0.3021 0.9418
F: 0.6398 0.0662 0.7118